Entry 1:
Structure and calculated powder X-ray diffraction pattern of NaLiGa2Cl4 (a GGA-PBE-relaxed structure; Cu Kα).
No peak broadening, texture or thermal motion is included.

Top 8 peaks for 10° ≤ 2θ ≤ 80°, low angle first:
two_theta  Rel. int.
16.90  35
17.24  26
27.33  52
29.40  99
29.55  100
32.53  68
40.71  32
45.09  26

Cell and atoms:
Cell lengths 6.061, 6.114, 6.778 Å; angles 110.57, 116.17, 93.87 degrees
Atoms (fractional coordinates):
Na  0.000  0.000  0.000
Li  0.782  0.144  0.492
Ga  0.238  0.704  0.532
Ga  0.467  0.484  0.974
Cl  0.170  0.102  0.470
Cl  0.504  0.084  0.073
Cl  0.666  0.771  0.515
Cl  0.989  0.436  0.923

Entry 2:
Structure and calculated powder X-ray diffraction pattern of Pm7Hg2C2 (a GGA-PBE-relaxed structure; Cu Kα).
No peak broadening, texture or thermal motion is included.

Top 8 peaks for 10° ≤ 2θ ≤ 80°, low angle first:
two_theta  Rel. int.
27.99  70
29.12  65
29.32  59
31.80  100
32.01  78
32.46  61
37.54  83
37.79  67

Cell and atoms:
Cell lengths 6.835, 6.835, 6.799 Å; angles 95.28, 95.28, 69.16 degrees
Atoms (fractional coordinates):
Pm  0.000  0.000  0.000
Pm  0.052  0.495  0.765
Pm  0.439  0.439  0.210
Pm  0.495  0.052  0.765
Pm  0.505  0.948  0.235
Pm  0.561  0.561  0.790
Pm  0.948  0.505  0.235
Hg  0.182  0.818  0.500
Hg  0.818  0.182  0.500
C  0.237  0.237  0.026
C  0.763  0.763  0.974

Entry 3:
Structure and calculated powder X-ray diffraction pattern of Li2Mg (a GGA-PBE-relaxed structure; Cu Kα).
No peak broadening, texture or thermal motion is included.

Top 8 peaks for 10° ≤ 2θ ≤ 80°, low angle first:
two_theta  Rel. int.
20.31  100
22.47  33
23.17  51
34.06  32
35.56  50
38.07  59
38.24  66
39.06  55

Cell and atoms:
Cell lengths 5.268, 5.268, 5.980 Å; angles 117.56, 117.56, 60.66 degrees
Atoms (fractional coordinates):
Li  0.079  0.254  0.249
Li  0.254  0.079  0.749
Li  0.746  0.921  0.251
Li  0.921  0.746  0.751
Mg  0.410  0.590  0.250
Mg  0.590  0.410  0.750

Entry 4:
Structure and calculated powder X-ray diffraction pattern of La4Pt2Rh (a GGA-PBE-relaxed structure; Cu Kα).
No peak broadening, texture or thermal motion is included.

Top 8 peaks for 10° ≤ 2θ ≤ 80°, low angle first:
two_theta  Rel. int.
13.58  35
27.51  100
27.83  51
36.32  50
36.66  72
37.34  21
41.18  34
42.54  61

Cell and atoms:
Cell lengths 7.730, 7.730, 7.290 Å; angles 117.15, 117.15, 32.95 degrees
Atoms (fractional coordinates):
La  0.116  0.116  0.290
La  0.365  0.365  0.208
La  0.635  0.635  0.792
La  0.884  0.884  0.710
Pt  0.260  0.260  0.755
Pt  0.740  0.740  0.245
Rh  0.500  0.500  0.000

Entry 5:
Structure and calculated powder X-ray diffraction pattern of H2AuS4 (a GGA-PBE-relaxed structure; Cu Kα).
No peak broadening, texture or thermal motion is included.

Top 8 peaks for 10° ≤ 2θ ≤ 80°, low angle first:
two_theta  Rel. int.
15.48  100
15.69  51
21.85  41
22.72  30
23.76  35
26.10  49
27.23  43
31.25  47

Cell and atoms:
Cell lengths 6.974, 6.974, 11.328 Å; angles 91.28, 91.28, 144.23 degrees
Atoms (fractional coordinates):
H  0.011  0.568  0.859
H  0.025  0.975  0.500
H  0.568  0.011  0.359
H  0.975  0.025  0.000
Au  0.506  0.739  0.677
Au  0.739  0.506  0.177
S  0.079  0.543  0.253
S  0.240  0.326  0.953
S  0.309  0.882  0.906
S  0.326  0.240  0.453
S  0.511  0.602  0.108
S  0.543  0.079  0.753
S  0.602  0.511  0.608
S  0.882  0.309  0.406

Entry 6:
Structure and calculated powder X-ray diffraction pattern of Th4Tc2Bi (a GGA-PBE-relaxed structure; Cu Kα).
No peak broadening, texture or thermal motion is included.

Top 8 peaks for 10° ≤ 2θ ≤ 80°, low angle first:
two_theta  Rel. int.
28.34  64
29.36  55
29.65  100
31.72  24
38.59  32
39.46  38
49.94  26
54.97  26

Cell and atoms:
Cell lengths 6.683, 6.683, 13.907 Å; angles 90.00, 90.00, 140.04 degrees
Atoms (fractional coordinates):
Th  0.000  0.000  0.000
Th  0.000  0.000  0.500
Th  0.270  0.730  0.606
Th  0.270  0.730  0.894
Th  0.408  0.592  0.250
Th  0.592  0.408  0.750
Th  0.730  0.270  0.106
Th  0.730  0.270  0.394
Tc  0.392  0.608  0.055
Tc  0.392  0.608  0.445
Tc  0.608  0.392  0.555
Tc  0.608  0.392  0.945
Bi  0.107  0.893  0.250
Bi  0.893  0.107  0.750

Entry 7:
Structure and calculated powder X-ray diffraction pattern of PrSm5Er3 (a GGA-PBE-relaxed structure; Cu Kα).
No peak broadening, texture or thermal motion is included.

Top 8 peaks for 10° ≤ 2θ ≤ 80°, low angle first:
two_theta  Rel. int.
27.87  69
29.78  39
31.39  100
31.55  78
31.71  85
32.19  53
33.95  39
55.20  24

Cell and atoms:
Cell lengths 9.861, 9.861, 11.353 Å; angles 112.21, 112.21, 37.92 degrees
Atoms (fractional coordinates):
Pr  0.137  0.863  0.750
Pr  0.863  0.137  0.250
Sm  0.009  0.651  0.134
Sm  0.125  0.538  0.792
Sm  0.349  0.991  0.366
Sm  0.395  0.605  0.250
Sm  0.462  0.875  0.708
Sm  0.538  0.125  0.292
Sm  0.605  0.395  0.750
Sm  0.651  0.009  0.634
Sm  0.875  0.462  0.208
Sm  0.991  0.349  0.866
Er  0.000  0.000  0.000
Er  0.000  0.000  0.500
Er  0.137  0.538  0.486
Er  0.462  0.863  0.014
Er  0.538  0.137  0.986
Er  0.863  0.462  0.514

Entry 8:
Structure and calculated powder X-ray diffraction pattern of Sr2ZnIn (a GGA-PBE-relaxed structure; Cu Kα).
No peak broadening, texture or thermal motion is included.

Top 8 peaks for 10° ≤ 2θ ≤ 80°, low angle first:
two_theta  Rel. int.
31.37  51
31.65  100
44.96  19
45.79  9
56.03  38
56.56  18
66.11  11
74.40  8

Cell and atoms:
Cell lengths 3.963, 5.703, 5.702 Å; angles 90.00, 90.00, 90.00 degrees
Atoms (fractional coordinates):
Sr  0.000  0.000  0.000
Sr  0.000  0.500  0.498
Zn  0.500  0.500  0.996
In  0.500  0.000  0.501

Entry 9:
Structure and calculated powder X-ray diffraction pattern of HoTh3Fe2 (a GGA-PBE-relaxed structure; Cu Kα).
No peak broadening, texture or thermal motion is included.

Top 8 peaks for 10° ≤ 2θ ≤ 80°, low angle first:
two_theta  Rel. int.
30.11  31
30.55  100
31.48  47
33.18  60
36.94  55
41.27  33
53.35  27
59.17  32

Cell and atoms:
Cell lengths 7.066, 7.066, 7.385 Å; angles 105.07, 105.07, 56.84 degrees
Atoms (fractional coordinates):
Ho  0.242  0.758  0.750
Ho  0.758  0.242  0.250
Th  0.220  0.226  0.612
Th  0.226  0.220  0.112
Th  0.269  0.731  0.250
Th  0.731  0.269  0.750
Th  0.774  0.780  0.888
Th  0.780  0.774  0.388
Fe  0.371  0.380  0.437
Fe  0.380  0.371  0.937
Fe  0.620  0.629  0.063
Fe  0.629  0.620  0.563

Entry 10:
Structure and calculated powder X-ray diffraction pattern of Ce2InCo (a GGA-PBE-relaxed structure; Cu Kα).
No peak broadening, texture or thermal motion is included.

Top 8 peaks for 10° ≤ 2θ ≤ 80°, low angle first:
two_theta  Rel. int.
28.12  29
35.11  100
36.08  14
36.23  65
44.64  13
52.06  20
52.18  22
64.45  33

Cell and atoms:
Cell lengths 3.506, 3.506, 7.469 Å; angles 90.00, 90.00, 90.00 degrees
Atoms (fractional coordinates):
Ce  0.000  0.000  0.191
Ce  0.000  0.000  0.809
In  0.500  0.500  0.500
Co  0.500  0.500  0.000

Entry 11:
Structure and calculated powder X-ray diffraction pattern of Th8Fe2Cu (a GGA-PBE-relaxed structure; Cu Kα).
No peak broadening, texture or thermal motion is included.

Top 8 peaks for 10° ≤ 2θ ≤ 80°, low angle first:
two_theta  Rel. int.
27.69  47
29.96  84
30.65  80
31.15  100
31.92  78
35.16  55
36.06  73
37.82  47

Cell and atoms:
Cell lengths 7.714, 7.714, 6.007 Å; angles 98.57, 98.57, 118.45 degrees
Atoms (fractional coordinates):
Th  0.000  0.000  0.000
Th  0.016  0.272  0.590
Th  0.182  0.619  0.195
Th  0.272  0.016  0.590
Th  0.473  0.734  0.793
Th  0.619  0.182  0.195
Th  0.734  0.473  0.793
Th  0.737  0.737  0.368
Fe  0.058  0.636  0.655
Fe  0.636  0.058  0.655
Cu  0.371  0.371  0.998

Entry 12:
Structure and calculated powder X-ray diffraction pattern of NaTl2Cl3 (a GGA-PBE-relaxed structure; Cu Kα).
No peak broadening, texture or thermal motion is included.

Top 8 peaks for 10° ≤ 2θ ≤ 80°, low angle first:
two_theta  Rel. int.
12.14  20
24.43  21
24.66  17
24.87  33
28.61  100
40.73  25
41.03  24
51.02  13

Cell and atoms:
Cell lengths 7.583, 7.583, 7.711 Å; angles 99.48, 99.48, 119.51 degrees
Atoms (fractional coordinates):
Na  0.167  0.833  0.000
Na  0.833  0.167  0.000
Tl  0.000  0.000  0.500
Tl  0.339  0.661  0.500
Tl  0.500  0.500  0.000
Tl  0.661  0.339  0.500
Cl  0.065  0.426  0.771
Cl  0.210  0.210  0.214
Cl  0.426  0.065  0.771
Cl  0.574  0.935  0.229
Cl  0.790  0.790  0.786
Cl  0.935  0.574  0.229